Calculated PXRD pattern
Compound: TaNiGePtAu
Radiation: a wavelength of 1.5418 Å
Structure: a cell relaxed with PBE

Largest 8 diffraction maxima, by intensity, 2θ = 10–90°:
- 43.4 deg, I 100, (1 1 3)
- 42.4 deg, I 59, (0 1 5)
- 38.9 deg, I 54, (0 2 0)
- 37.6 deg, I 49, (1 1 1)
- 29.8 deg, I 28, (0 0 4)
- 83.9 deg, I 22, (1 2 8)
- 20.6 deg, I 22, (0 1 1)
- 34.6 deg, I 22, (1 0 2)

```
data_TaNiGePtAu
_space_group_name_H-M_alt 'A m m 2'
_space_group_IT_number 38
_cell_length_a 2.871
_cell_length_b 4.632
_cell_length_c 11.996
_cell_angle_alpha 90.00
_cell_angle_beta 90.00
_cell_angle_gamma 90.00
loop_
_space_group_symop_operation_xyz
'x,y,z'
'-x,-y,z'
'-x,y,z'
'x,-y,z'
'x,y+1/2,z+1/2'
'-x,-y+1/2,z+1/2'
'-x,y+1/2,z+1/2'
'x,-y+1/2,z+1/2'
loop_
_atom_site_label
_atom_site_type_symbol
_atom_site_fract_x
_atom_site_fract_y
_atom_site_fract_z
Ta1 Ta 0.000 0.000 0.000
Ni1 Ni 0.000 0.000 0.630
Ge1 Ge 0.500 0.000 0.797
Pt1 Pt 0.500 0.000 0.190
Au1 Au 0.500 0.000 0.435
```



Calculated PXRD pattern
Compound: TaNiGePtAu
Radiation: a wavelength of 1.5418 Å
Structure: a cell relaxed with PBE

Largest 8 diffraction maxima, by intensity, 2θ = 10–90°:
- 38.9 deg, I 100, (0 1 -2)
- 41.6 deg, I 92, (1 2 0)
- 40.5 deg, I 87, (0 2 1)
- 34.0 deg, I 70, (1 0 -1)
- 33.9 deg, I 68, (1 1 1)
- 15.4 deg, I 62, (0 0 1)
- 43.3 deg, I 58, (1 1 2)
- 43.4 deg, I 51, (1 0 -2)

```
data_TaNiGePtAu
_space_group_name_H-M_alt 'P 1'
_space_group_IT_number 1
_cell_length_a 3.081
_cell_length_b 4.874
_cell_length_c 5.782
_cell_angle_alpha 83.46
_cell_angle_beta 89.75
_cell_angle_gamma 71.60
loop_
_space_group_symop_operation_xyz
'x,y,z'
loop_
_atom_site_label
_atom_site_type_symbol
_atom_site_fract_x
_atom_site_fract_y
_atom_site_fract_z
Ta1 Ta 0.000 0.000 0.000
Ni1 Ni 0.580 0.836 0.346
Ge1 Ge 0.916 0.161 0.515
Pt1 Pt 0.291 0.417 0.185
Au1 Au 0.702 0.602 0.775
```



Calculated PXRD pattern
Compound: Sm2NiGe4Au3
Radiation: a wavelength of 1.5418 Å
Structure: a cell relaxed with PBE

Largest 8 diffraction maxima, by intensity, 2θ = 10–90°:
- 33.9 deg, I 100, (1 1 2)
- 42.2 deg, I 68, (2 0 0)
- 32.3 deg, I 53, (1 0 3)
- 46.8 deg, I 34, (1 0 5)
- 26.5 deg, I 34, (1 0 2)
- 44.7 deg, I 31, (1 1 4)
- 64.8 deg, I 26, (2 1 5)
- 54.1 deg, I 25, (2 1 3)

```
data_Sm2NiGe4Au3
_space_group_name_H-M_alt 'P -4 m 2'
_space_group_IT_number 115
_cell_length_a 4.281
_cell_length_b 4.281
_cell_length_c 10.901
_cell_angle_alpha 90.00
_cell_angle_beta 90.00
_cell_angle_gamma 90.00
loop_
_space_group_symop_operation_xyz
'x,y,z'
'y,-x,-z'
'-x,-y,z'
'-y,x,-z'
'-x,y,z'
'-y,-x,-z'
'x,-y,z'
'y,x,-z'
loop_
_atom_site_label
_atom_site_type_symbol
_atom_site_fract_x
_atom_site_fract_y
_atom_site_fract_z
Sm1 Sm 0.000 0.500 0.227
Ni1 Ni 0.500 0.500 0.000
Ge1 Ge 0.000 0.000 0.500
Ge2 Ge 0.000 0.500 0.876
Ge3 Ge 0.500 0.500 0.500
Au1 Au 0.000 0.000 0.000
Au2 Au 0.000 0.500 0.646
```



Calculated PXRD pattern
Compound: Sr2NiGeAu6
Radiation: a wavelength of 1.5418 Å
Structure: a cell relaxed with PBE

Largest 8 diffraction maxima, by intensity, 2θ = 10–90°:
- 32.0 deg, I 100, (2 0 0)
- 36.6 deg, I 87, (2 2 0)
- 32.1 deg, I 51, (2 2 2)
- 18.1 deg, I 48, (0 1 1)
- 36.7 deg, I 48, (0 2 2)
- 54.0 deg, I 43, (2 4 2)
- 29.2 deg, I 41, (1 0 2)
- 40.9 deg, I 38, (3 2 2)

```
data_Sr2NiGeAu6
_space_group_name_H-M_alt 'P -1'
_space_group_IT_number 2
_cell_length_a 6.787
_cell_length_b 6.788
_cell_length_c 7.118
_cell_angle_alpha 61.80
_cell_angle_beta 61.60
_cell_angle_gamma 60.06
loop_
_space_group_symop_operation_xyz
'x,y,z'
'-x,-y,-z'
loop_
_atom_site_label
_atom_site_type_symbol
_atom_site_fract_x
_atom_site_fract_y
_atom_site_fract_z
Sr1 Sr 0.220 0.224 0.336
Ni1 Ni 0.500 0.500 0.500
Ge1 Ge 0.000 0.000 0.000
Au1 Au 0.255 0.676 0.817
Au2 Au 0.258 0.249 0.810
Au3 Au 0.317 0.751 0.189
```



Calculated PXRD pattern
Compound: NpGe3Au3
Radiation: a wavelength of 1.5418 Å
Structure: a cell relaxed with PBE

Largest 8 diffraction maxima, by intensity, 2θ = 10–90°:
- 31.0 deg, I 100, (2 1 1)
- 48.3 deg, I 60, (3 2 1)
- 25.2 deg, I 42, (2 0 0)
- 28.3 deg, I 30, (2 1 0)
- 51.8 deg, I 26, (4 0 0)
- 84.7 deg, I 19, (6 1 1)
- 73.5 deg, I 18, (5 2 1)
- 44.5 deg, I 17, (2 2 2)

```
data_NpGe3Au3
_space_group_name_H-M_alt 'P m -3 n'
_space_group_IT_number 223
_space_group_name_Hall '-P 4n 2 3'
_cell_length_a 7.055
_cell_length_b 7.055
_cell_length_c 7.055
_cell_angle_alpha 90.00
_cell_angle_beta 90.00
_cell_angle_gamma 90.00
loop_
_atom_site_label
_atom_site_type_symbol
_atom_site_fract_x
_atom_site_fract_y
_atom_site_fract_z
Np1 Np 0.000 0.000 0.000
Ge1 Ge 0.000 0.250 0.500
Au1 Au 0.000 0.500 0.250
```



Calculated PXRD pattern
Compound: GePAu
Radiation: a wavelength of 1.5418 Å
Structure: a cell relaxed with PBE

Largest 8 diffraction maxima, by intensity, 2θ = 10–90°:
- 25.4 deg, I 100, (1 1 0)
- 48.9 deg, I 35, (1 2 -2)
- 13.8 deg, I 34, (0 0 1)
- 23.7 deg, I 32, (0 1 -1)
- 27.9 deg, I 32, (0 1 2)
- 49.4 deg, I 32, (2 1 0)
- 45.7 deg, I 31, (1 3 1)
- 35.9 deg, I 24, (0 1 -2)

```
data_GePAu
_space_group_name_H-M_alt 'P -1'
_space_group_IT_number 2
_cell_length_a 3.686
_cell_length_b 6.181
_cell_length_c 6.666
_cell_angle_alpha 74.40
_cell_angle_beta 89.95
_cell_angle_gamma 72.72
loop_
_space_group_symop_operation_xyz
'x,y,z'
'-x,-y,-z'
loop_
_atom_site_label
_atom_site_type_symbol
_atom_site_fract_x
_atom_site_fract_y
_atom_site_fract_z
Ge1 Ge 0.166 0.168 0.285
P1 P 0.201 0.098 0.670
Au1 Au 0.065 0.370 0.864
```



Calculated PXRD pattern
Compound: SiGe2P4Au
Radiation: a wavelength of 1.5418 Å
Structure: a cell relaxed with PBE

Largest 8 diffraction maxima, by intensity, 2θ = 10–90°:
- 28.7 deg, I 100, (2 0 2)
- 27.6 deg, I 97, (0 2 2)
- 17.9 deg, I 90, (1 1 1)
- 47.5 deg, I 73, (2 2 4)
- 53.3 deg, I 35, (2 4 2)
- 30.3 deg, I 32, (1 1 3)
- 31.6 deg, I 30, (2 2 0)
- 55.2 deg, I 28, (4 2 2)

```
data_SiGe2P4Au
_space_group_name_H-M_alt 'F m m 2'
_space_group_IT_number 42
_space_group_name_Hall 'F 2 -2'
_cell_length_a 7.771
_cell_length_b 8.242
_cell_length_c 10.394
_cell_angle_alpha 90.00
_cell_angle_beta 90.00
_cell_angle_gamma 90.00
loop_
_atom_site_label
_atom_site_type_symbol
_atom_site_fract_x
_atom_site_fract_y
_atom_site_fract_z
Si1 Si 0.000 0.000 0.000
Ge1 Ge 0.250 0.250 0.256
P1 P 0.000 0.237 0.117
P2 P 0.238 0.000 0.874
Au1 Au 0.000 0.000 0.503
```



Calculated PXRD pattern
Compound: PaGe2Au3
Radiation: a wavelength of 1.5418 Å
Structure: a cell relaxed with PBE

Largest 8 diffraction maxima, by intensity, 2θ = 10–90°:
- 35.9 deg, I 100, (-1 2 1)
- 33.0 deg, I 86, (1 2 -2)
- 33.6 deg, I 78, (1 -1 2)
- 38.8 deg, I 55, (2 0 -1)
- 34.7 deg, I 54, (1 1 -3)
- 38.1 deg, I 52, (0 3 -2)
- 37.2 deg, I 45, (1 2 0)
- 33.9 deg, I 33, (0 1 -3)

```
data_PaGe2Au3
_space_group_name_H-M_alt 'P -1'
_space_group_IT_number 2
_cell_length_a 4.651
_cell_length_b 7.215
_cell_length_c 8.222
_cell_angle_alpha 114.09
_cell_angle_beta 104.41
_cell_angle_gamma 93.23
loop_
_space_group_symop_operation_xyz
'x,y,z'
'-x,-y,-z'
loop_
_atom_site_label
_atom_site_type_symbol
_atom_site_fract_x
_atom_site_fract_y
_atom_site_fract_z
Pa1 Pa 0.141 0.194 0.279
Ge1 Ge 0.225 0.666 0.405
Ge2 Ge 0.406 0.846 0.028
Au1 Au 0.089 0.307 0.921
Au2 Au 0.310 0.051 0.622
Au3 Au 0.345 0.515 0.715
```



Calculated PXRD pattern
Compound: PaGe2Au
Radiation: a wavelength of 1.5418 Å
Structure: a cell relaxed with PBE

Largest 8 diffraction maxima, by intensity, 2θ = 10–90°:
- 36.1 deg, I 100, (1 1 1)
- 40.5 deg, I 36, (2 0 0)
- 70.8 deg, I 29, (3 1 1)
- 76.5 deg, I 23, (2 2 2)
- 61.8 deg, I 21, (2 0 2)
- 28.3 deg, I 21, (1 1 0)
- 21.9 deg, I 19, (0 0 1)
- 44.6 deg, I 14, (0 0 2)

```
data_PaGe2Au
_space_group_name_H-M_alt 'P 4/m m m'
_space_group_IT_number 123
_space_group_name_Hall '-P 4 2'
_cell_length_a 4.456
_cell_length_b 4.456
_cell_length_c 4.063
_cell_angle_alpha 90.00
_cell_angle_beta 90.00
_cell_angle_gamma 90.00
loop_
_atom_site_label
_atom_site_type_symbol
_atom_site_fract_x
_atom_site_fract_y
_atom_site_fract_z
Pa1 Pa 0.000 0.000 0.000
Ge1 Ge 0.000 0.500 0.500
Au1 Au 0.500 0.500 0.000
```



Calculated PXRD pattern
Compound: GePb2Au3
Radiation: a wavelength of 1.5418 Å
Structure: a cell relaxed with PBE

Largest 8 diffraction maxima, by intensity, 2θ = 10–90°:
- 39.4 deg, I 100, (3 1 2)
- 40.8 deg, I 75, (3 3 0)
- 28.1 deg, I 70, (3 1 1)
- 39.2 deg, I 62, (0 2 2)
- 36.1 deg, I 41, (5 1 0)
- 27.9 deg, I 39, (0 2 1)
- 59.8 deg, I 28, (5 3 2)
- 23.4 deg, I 25, (3 1 0)

```
data_GePb2Au3
_space_group_name_H-M_alt 'C m c m'
_space_group_IT_number 63
_space_group_name_Hall '-C 2c 2'
_cell_length_a 13.151
_cell_length_b 7.695
_cell_length_c 5.724
_cell_angle_alpha 90.00
_cell_angle_beta 90.00
_cell_angle_gamma 90.00
loop_
_atom_site_label
_atom_site_type_symbol
_atom_site_fract_x
_atom_site_fract_y
_atom_site_fract_z
Ge1 Ge 0.000 0.199 0.250
Pb1 Pb 0.183 0.341 0.750
Au1 Au 0.000 0.500 0.000
Au2 Au 0.130 0.000 0.000
```



Calculated PXRD pattern
Compound: Ge3Pb2Au17
Radiation: a wavelength of 1.5418 Å
Structure: a cell relaxed with PBE

Largest 8 diffraction maxima, by intensity, 2θ = 10–90°:
- 34.5 deg, I 100, (2 2 0)
- 39.1 deg, I 76, (2 2 3)
- 40.2 deg, I 72, (1 1 6)
- 34.9 deg, I 57, (3 0 3)
- 36.2 deg, I 56, (0 0 6)
- 11.5 deg, I 40, (1 0 1)
- 72.6 deg, I 31, (4 4 0)
- 40.5 deg, I 26, (4 0 1)

```
data_Ge3Pb2Au17
_space_group_name_H-M_alt 'R -3 m'
_space_group_IT_number 166
_space_group_name_Hall '-R 3 2"'
_cell_length_a 10.4122
_cell_length_b 10.4122
_cell_length_c 14.8889
_cell_angle_alpha 90.00
_cell_angle_beta 90.00
_cell_angle_gamma 120.00
loop_
_atom_site_label
_atom_site_type_symbol
_atom_site_fract_x
_atom_site_fract_y
_atom_site_fract_z
Ge1 Ge 0.0000 0.5000 0.0000
Pb1 Pb 0.0000 0.0000 0.2997
Au1 Au 0.0000 0.0000 0.1010
Au2 Au 0.0000 0.2627 0.0000
Au3 Au 0.0000 0.5000 0.5000
Au4 Au 0.0070 0.5035 0.1711
```



Calculated PXRD pattern
Compound: GePb2Au
Radiation: a wavelength of 1.5418 Å
Structure: a cell relaxed with PBE

Largest 8 diffraction maxima, by intensity, 2θ = 10–90°:
- 33.8 deg, I 100, (1 0 2)
- 36.2 deg, I 42, (1 1 0)
- 63.6 deg, I 33, (2 1 2)
- 58.8 deg, I 21, (1 1 4)
- 52.1 deg, I 16, (2 0 0)
- 10.9 deg, I 15, (0 0 1)
- 71.0 deg, I 12, (2 0 4)
- 44.7 deg, I 11, (0 0 4)

```
data_GePb2Au
_space_group_name_H-M_alt 'P 4/m m m'
_space_group_IT_number 123
_space_group_name_Hall '-P 4 2'
_cell_length_a 3.508
_cell_length_b 3.508
_cell_length_c 8.114
_cell_angle_alpha 90.00
_cell_angle_beta 90.00
_cell_angle_gamma 90.00
loop_
_atom_site_label
_atom_site_type_symbol
_atom_site_fract_x
_atom_site_fract_y
_atom_site_fract_z
Ge1 Ge 0.000 0.000 0.000
Pb1 Pb 0.500 0.500 0.260
Au1 Au 0.000 0.000 0.500
```



Calculated PXRD pattern
Compound: GePbAu
Radiation: a wavelength of 1.5418 Å
Structure: a cell relaxed with PBE

Largest 8 diffraction maxima, by intensity, 2θ = 10–90°:
- 31.2 deg, I 100, (1 0 1)
- 40.6 deg, I 44, (1 1 0)
- 59.9 deg, I 29, (1 1 2)
- 52.0 deg, I 24, (0 2 1)
- 68.0 deg, I 22, (2 1 1)
- 42.1 deg, I 13, (0 0 2)
- 23.1 deg, I 13, (1 0 0)
- 88.8 deg, I 10, (3 0 2)

```
data_GePbAu
_space_group_name_H-M_alt 'P 3 m 1'
_space_group_IT_number 156
_cell_length_a 4.4489
_cell_length_b 4.4489
_cell_length_c 4.2938
_cell_angle_alpha 90.00
_cell_angle_beta 90.00
_cell_angle_gamma 120.00
loop_
_space_group_symop_operation_xyz
'x,y,z'
'-y,x-y,z'
'-x+y,-x,z'
'-y,-x,z'
'-x+y,y,z'
'x,x-y,z'
loop_
_atom_site_label
_atom_site_type_symbol
_atom_site_fract_x
_atom_site_fract_y
_atom_site_fract_z
Ge1 Ge 0.0000 0.0000 0.0000
Pb1 Pb 0.3333 0.6667 0.5005
Au1 Au 0.6667 0.3333 0.0040
```



Calculated PXRD pattern
Compound: GePbAu4
Radiation: a wavelength of 1.5418 Å
Structure: a cell relaxed with PBE

Largest 8 diffraction maxima, by intensity, 2θ = 10–90°:
- 39.7 deg, I 100, (2 0 0)
- 29.3 deg, I 93, (1 5 0)
- 35.4 deg, I 79, (0 4 2)
- 36.9 deg, I 65, (1 1 2)
- 54.2 deg, I 49, (2 4 2)
- 42.9 deg, I 46, (1 5 2)
- 28.1 deg, I 37, (1 3 1)
- 71.8 deg, I 26, (1 15 0)

```
data_GePbAu4
_space_group_name_H-M_alt 'C m c m'
_space_group_IT_number 63
_space_group_name_Hall '-C 2c 2'
_cell_length_a 4.540
_cell_length_b 20.606
_cell_length_c 5.833
_cell_angle_alpha 90.00
_cell_angle_beta 90.00
_cell_angle_gamma 90.00
loop_
_atom_site_label
_atom_site_type_symbol
_atom_site_fract_x
_atom_site_fract_y
_atom_site_fract_z
Ge1 Ge 0.000 0.102 0.250
Pb1 Pb 0.000 0.395 0.250
Au1 Au 0.000 0.000 0.000
Au2 Au 0.000 0.207 0.515
Au3 Au 0.000 0.338 0.750
```